Structure and theoretical powder XRD pattern of PrSmIBr2N (a PBE-relaxed structure; Cu Kα, 1.54184 Å).

Largest 12 diffraction maxima, in order of rising 2θ, 2θ = 10–80°:
2θ/deg, d_spacing, intensity, index
10.18, 8.688, 70.6, 2 0 -1
23.16, 3.840, 23.8, 4 0 0
25.39, 3.508, 34.6, 1 1 1
26.82, 3.324, 47.3, 1 1 -2
30.67, 2.915, 100.0, 4 0 -4
31.22, 2.865, 41.9, 6 0 -1
33.26, 2.694, 24.9, 5 1 -2
35.13, 2.554, 21.6, 5 1 -3
37.65, 2.389, 18.9, 3 1 -4
41.42, 2.180, 25.8, 5 1 1
41.81, 2.161, 25.7, 7 1 -3
44.48, 2.037, 25.3, 0 2 0

Structure:
```
data_PrSmIBr2N
_cell_length_a 18.044
_cell_length_b 4.074
_cell_length_c 11.806
_cell_angle_alpha 90.00
_cell_angle_beta 121.74
_cell_angle_gamma 90.00
_symmetry_space_group_name_H-M 'C 1 2/m 1'
_symmetry_Int_Tables_number 12
_symmetry_space_group_name_Hall '-C 2y'
loop_
_atom_site_label
_atom_site_fract_x
_atom_site_fract_y
_atom_site_fract_z
Pr1 0.080 0.000 0.456
Sm1 0.132 0.500 0.777
I1 0.159 0.000 0.015
Br1 0.043 0.500 0.248
Br2 0.220 0.500 0.616
N1 0.073 0.000 0.651
```